Record 1
Structure and calculated powder XRD pattern of Co9O13 (a GGA+U-relaxed structure; Cu Kα X-rays).

Most intense lines, 5 to 70 degrees two-theta, by angle:
two_theta  I (rel.)
10.25  100
34.00  33
34.49  32
34.69  17
44.04  23
45.78  18

Crystal structure
Cell lengths 9.494, 2.874, 17.464 Å; angles 90.00, 98.68, 90.00 degrees
Space group C2/m (No. 12)
Symmetry-distinct sites (fractional):
Co  0.000  0.000  0.000 [2 per cell]
Co  0.022  0.500  0.178 [4 per cell]
Co  0.053  0.500  0.370 [4 per cell]
Co  0.145  0.000  0.537 [4 per cell]
Co  0.248  0.000  0.915 [4 per cell]
O  0.000  0.500  0.500 [2 per cell]
O  0.075  0.000  0.630 [4 per cell]
O  0.110  0.000  0.105 [4 per cell]
O  0.111  0.500  0.270 [4 per cell]
O  0.121  0.000  0.832 [4 per cell]
O  0.128  0.500  0.978 [4 per cell]
O  0.219  0.000  0.438 [4 per cell]



Record 2
Structure and calculated powder XRD pattern of CoO2 (a GGA+U-relaxed structure; Cu Kα X-rays).

Most intense lines, 5 to 70 degrees two-theta, by angle:
two_theta  I (rel.)
17.38  100
37.63  23
40.78  16
45.52  24
58.79  13
66.59  11

Crystal structure
Cell lengths 2.841, 4.909, 10.207 Å; angles 90.00, 90.00, 90.00 degrees
Space group Cmce (No. 64)
Symmetry-distinct sites (fractional):
Co  0.000  0.000  0.000 [4 per cell]
O  0.000  0.167  0.408 [8 per cell]



Record 3
Structure and calculated powder XRD pattern of Co5O8 (a GGA+U-relaxed structure; Cu Kα X-rays).

Most intense lines, 5 to 70 degrees two-theta, by angle:
two_theta  I (rel.)
19.02  79
36.89  100
38.59  21
44.86  46
59.43  40
65.32  48

Crystal structure
Cell lengths 8.082, 8.082, 8.082 Å; angles 90.00, 90.00, 90.00 degrees
Space group F-43m (No. 216)
Symmetry-distinct sites (fractional):
Co  0.000  0.000  0.000 [4 per cell]
Co  0.124  0.124  0.376 [16 per cell]
O  0.107  0.107  0.607 [16 per cell]
O  0.138  0.138  0.138 [16 per cell]



Record 4
Structure and calculated powder XRD pattern of CoO2 (a GGA+U-relaxed structure; Cu Kα X-rays).

Most intense lines, 5 to 70 degrees two-theta, by angle:
two_theta  I (rel.)
19.24  72
31.69  95
37.28  100
37.44  48
60.13  30
66.25  37

Crystal structure
Cell lengths 5.652, 5.662, 7.960 Å; angles 90.00, 90.00, 90.00 degrees
Space group Imma (No. 74)
Symmetry-distinct sites (fractional):
Co  0.000  0.000  0.000 [4 per cell]
Co  0.000  0.250  0.366 [4 per cell]
O  0.000  0.009  0.230 [8 per cell]
O  0.224  0.250  0.000 [8 per cell]



Record 5
Structure and calculated powder XRD pattern of Co5O7 (a GGA+U-relaxed structure; Cu Kα X-rays).

Most intense lines, 5 to 70 degrees two-theta, by angle:
two_theta  I (rel.)
9.77  100
34.13  21
34.84  64
36.40  19
43.09  38
44.59  32

Crystal structure
Cell lengths 2.858, 9.873, 18.108 Å; angles 90.00, 90.00, 90.00 degrees
Space group Cmcm (No. 63)
Symmetry-distinct sites (fractional):
Co  0.000  0.000  0.000 [4 per cell]
Co  0.000  0.272  0.078 [8 per cell]
Co  0.000  0.469  0.658 [8 per cell]
O  0.000  0.078  0.600 [8 per cell]
O  0.000  0.157  0.161 [8 per cell]
O  0.000  0.371  0.521 [8 per cell]
O  0.000  0.462  0.250 [4 per cell]



Record 6
Structure and calculated powder XRD pattern of CoO2 (a GGA+U-relaxed structure; Cu Kα X-rays).

Most intense lines, 5 to 70 degrees two-theta, by angle:
two_theta  I (rel.)
17.12  100
37.05  15
38.43  16
43.59  16
47.16  15
55.81  11

Crystal structure
Cell lengths 2.8367, 2.8367, 31.0830 Å; angles 90.00, 90.00, 120.00 degrees
Space group R-3m (No. 166, hexagonal axes)
Symmetry-distinct sites (fractional):
Co  0.0000  0.0000  0.0000 [3 per cell]
Co  0.0000  0.0000  0.5000 [3 per cell]
O  0.0000  0.0000  0.1363 [6 per cell]
O  0.0000  0.0000  0.3030 [6 per cell]



Record 7
Structure and calculated powder XRD pattern of CoOs2O6 (a GGA+U-relaxed structure; Cu Kα X-rays).

Most intense lines, 5 to 70 degrees two-theta, by angle:
two_theta  I (rel.)
20.56  18
28.92  100
36.02  40
46.83  27
55.61  35
60.46  25

Crystal structure
Cell lengths 8.6381, 8.6381, 4.4141 Å; angles 90.00, 90.00, 120.00 degrees
Space group P321 (No. 150)
Symmetry-distinct sites (fractional):
Co  0.0000  0.0000  0.0000 [1 per cell]
Co  0.3333  0.6667  0.5035 [2 per cell]
Os  0.0000  0.3246  0.5000 [3 per cell]
Os  0.0000  0.6576  0.0000 [3 per cell]
O  0.1026  0.5449  0.7499 [6 per cell]
O  0.1132  0.8816  0.7581 [6 per cell]
O  0.2127  0.7776  0.2575 [6 per cell]



Record 8
Structure and calculated powder XRD pattern of CoReOsSeO (a GGA+U-relaxed structure; Cu Kα X-rays).

Most intense lines, 5 to 70 degrees two-theta, by angle:
two_theta  I (rel.)
10.71  100
26.03  10
29.44  16
31.41  12
38.54  14
39.70  12

Crystal structure
Cell lengths 3.908, 3.034, 8.286 Å; angles 90.00, 94.45, 90.00 degrees
Space group Pm (No. 6)
Symmetry-distinct sites (fractional):
Co  0.000  0.000  0.000 [1 per cell]
Re  0.022  0.500  0.305 [1 per cell]
Os  0.494  0.500  0.133 [1 per cell]
Se  0.607  0.500  0.837 [1 per cell]
O  0.040  0.000  0.441 [1 per cell]